Starting from a crystal structure in Alexandria, relaxed with GGA-PBE, the XRD peak list of KTaTlSe4 was calculated for CuKα.
No peak broadening, texture or thermal motion is included.

Peak list (10 most intense, 2θ from 5° to 70°, by angle)
d [Å], 2theta, I/Imax
11.595, 7.62, 100
5.469, 16.21, 69
4.504, 19.71, 52
4.162, 21.35, 72
3.451, 25.82, 73
3.277, 27.21, 67
2.897, 30.87, 50
2.716, 32.98, 46
2.332, 38.61, 44
2.231, 40.44, 40

Structural model:
```
KTaTlSe4
1.0
7.1761 0.0000 0.0000
0.0000 6.2021 0.0000
-1.9886 0.0000 11.5950
K Ta Tl Se
2 2 2 8
direct
0.2361 0.2500 0.4217
0.7639 0.7500 0.5783
0.3255 0.7500 0.7380
0.6745 0.2500 0.2620
0.2337 0.2500 0.9544
0.7663 0.7500 0.0456
0.0645 0.7500 0.8410
0.2351 0.7500 0.5327
0.4373 0.5218 0.1937
0.4373 0.9782 0.1937
0.5627 0.0218 0.8063
0.5627 0.4782 0.8063
0.7649 0.2500 0.4673
0.9355 0.2500 0.1590
```

Starting from a crystal structure in Alexandria, relaxed with GGA-PBE, the XRD peak list of KTb4Se6 was calculated for CuKα.
No peak broadening, texture or thermal motion is included.

Peak list (10 most intense, 2θ from 5° to 70°, by angle)
d [Å], 2theta, I/Imax
10.900, 8.11, 75
3.682, 24.17, 48
3.212, 27.78, 41
3.043, 29.35, 60
2.958, 30.22, 77
2.833, 31.59, 100
2.245, 40.16, 37
2.112, 42.81, 59
2.069, 43.76, 70
2.028, 44.67, 52

Structural model:
```
KTb4Se6
1.0
2.0703 -6.8767 0.0000
2.0703 6.8767 0.0000
0.0000 0.0000 21.7992
K Tb Se
2 8 12
direct
0.1551 0.8449 0.7500
0.8449 0.1551 0.2500
0.0973 0.9027 0.1331
0.0973 0.9027 0.3669
0.3676 0.6324 0.0414
0.3676 0.6324 0.4586
0.6324 0.3676 0.5414
0.6324 0.3676 0.9586
0.9027 0.0973 0.6331
0.9027 0.0973 0.8669
0.0000 0.0000 0.0000
0.0000 0.0000 0.5000
0.1641 0.8359 0.2500
0.2717 0.7283 0.5803
0.2717 0.7283 0.9197
0.4616 0.5384 0.1545
0.4616 0.5384 0.3455
0.5384 0.4616 0.6545
0.5384 0.4616 0.8455
0.7283 0.2717 0.0803
0.7283 0.2717 0.4197
0.8359 0.1641 0.7500
```

Starting from a crystal structure in Alexandria, relaxed with GGA-PBE, the XRD peak list of KTeSe2 was calculated for CuKα.
No peak broadening, texture or thermal motion is included.

Peak list (10 most intense, 2θ from 5° to 70°, by angle)
d [Å], 2theta, I/Imax
5.447, 16.27, 100
4.164, 21.34, 18
3.075, 29.04, 28
2.798, 31.98, 23
2.724, 32.88, 32
2.679, 33.45, 54
2.489, 36.09, 43
2.039, 44.42, 13
2.002, 45.30, 17
1.952, 46.53, 16

Structural model:
```
KTeSe2
1.0
4.0116 0.0000 0.0000
0.0000 5.4473 0.0000
-1.3895 0.0000 6.4576
K Te Se
1 1 2
direct
0.0000 0.0000 0.0000
0.1389 0.5000 0.4059
0.5125 0.5000 0.0794
0.7302 0.5000 0.7102
```